For Ta20Te5S3, a structure optimized by DFT (PBE) gives the theoretical X-ray diffraction stick pattern in this record (λ = 1.5418 Å (Cu Kα)).

Cell and atoms:
Lattice parameters (Å, degrees): 15.6762 14.3957 10.5501 90.00 108.45 90.00
Space group C2/c (No. 15)
Unique sites:
Ta (0.0000, 0.0639, 0.2500) [4 per cell]
Ta (0.0557, 0.2455, 0.9060) [8 per cell]
Ta (0.0773, 0.1745, 0.4726) [8 per cell]
Ta (0.0810, 0.1056, 0.7271) [8 per cell]
Ta (0.0833, 0.0443, 0.0090) [8 per cell]
Ta (0.1428, 0.2114, 0.1980) [8 per cell]
Ta (0.1583, 0.2869, 0.7208) [8 per cell]
Ta (0.1957, 0.0509, 0.3562) [8 per cell]
Ta (0.2320, 0.1613, 0.9537) [8 per cell]
Ta (0.2422, 0.1071, 0.6702) [8 per cell]
Ta (0.2500, 0.2500, 0.5000) [4 per cell]
Te (0.0000, 0.4045, 0.7500) [4 per cell]
Te (0.1089, 0.3964, 0.0984) [8 per cell]
Te (0.1231, 0.3903, 0.4755) [8 per cell]
S (0.0000, 0.2414, 0.2500) [4 per cell]
S (0.2498, 0.0697, 0.1598) [8 per cell]

Main lines, in order of rising 2θ (2θ = 10–80°):
34.81°, I 66.0, hkl 1 3 3
34.95°, I 81.6, hkl 6 0 -2
35.75°, I 57.1, hkl 3 5 -1
35.88°, I 100.0, hkl 2 4 -3
36.28°, I 95.3, hkl 2 2 -4
36.57°, I 77.1, hkl 4 2 2
36.68°, I 46.1, hkl 6 2 -1
37.48°, I 57.8, hkl 0 6 0
37.80°, I 64.3, hkl 4 4 1
38.60°, I 83.0, hkl 0 6 1